Record 1
For CaLaTaCrO6, a DFT-relaxed cell (GGA+U, the Materials Project) gives the calculated PXRD pattern in this record (Cu Kα).

Largest 10 diffraction maxima, sorted by position, 2θ = 10–80°:
2theta  I (rel.)
18.8  60
19.3  33
30.8  100
31.0  92
31.6  39
32.6  37
42.4  28
46.1  41
53.9  22
56.9  20

Atomic structure:
Cell lengths 5.494, 5.655, 10.089 Å; angles 90.00, 122.29, 90.00 degrees
Atoms (fractional coordinates):
Ca 0.000 0.200 0.000
Ca 0.000 0.800 0.500
La 0.552 0.296 0.511
La 0.552 0.704 0.011
Ta 0.279 0.247 0.757
Ta 0.279 0.753 0.257
Cr 0.780 0.252 0.256
Cr 0.780 0.748 0.756
O 0.011 0.469 0.189
O 0.011 0.531 0.689
O 0.162 0.203 0.533
O 0.162 0.797 0.033
O 0.385 0.293 0.976
O 0.385 0.707 0.476
O 0.547 0.034 0.321
O 0.547 0.966 0.821
O 0.615 0.452 0.804
O 0.615 0.548 0.304
O 0.942 0.041 0.706
O 0.942 0.959 0.206


Record 2
For MgV2P2H2O10, a DFT-relaxed cell (GGA+U, the Materials Project) gives the calculated PXRD pattern in this record (Cu Kα).

Largest 10 diffraction maxima, sorted by position, 2θ = 10–80°:
2theta  I (rel.)
17.6  12
18.6  25
26.3  100
27.2  35
28.2  32
38.5  14
43.9  18
54.1  13
54.8  15
56.1  9

Atomic structure:
Cell lengths 5.204, 5.459, 7.399 Å; angles 110.64, 107.71, 92.68 degrees
Atoms (fractional coordinates):
Mg 0.000 0.000 0.000
V 0.000 0.500 0.000
V 0.500 0.000 0.500
P 0.388 0.601 0.747
P 0.612 0.399 0.253
H 0.018 0.133 0.692
H 0.982 0.867 0.308
O 0.124 0.866 0.246
O 0.203 0.691 0.882
O 0.306 0.317 0.104
O 0.317 0.295 0.639
O 0.342 0.751 0.603
O 0.658 0.249 0.397
O 0.683 0.705 0.361
O 0.694 0.683 0.896
O 0.797 0.309 0.118
O 0.876 0.134 0.754


Record 3
For Y4Fe13Si2Sb2O28, a DFT-relaxed cell (GGA+U, the Materials Project) gives the calculated PXRD pattern in this record (Cu Kα).

Largest 10 diffraction maxima, sorted by position, 2θ = 10–80°:
2theta  I (rel.)
28.5  100
30.6  49
31.6  24
32.9  78
34.2  35
34.6  38
35.0  24
40.2  26
55.3  54
55.6  21

Atomic structure:
Cell lengths 5.703, 9.546, 12.334 Å; angles 87.59, 76.68, 79.80 degrees
Atoms (fractional coordinates):
Y 0.000 0.000 0.000
Y 0.030 0.689 0.824
Y 0.442 0.690 0.001
Y 0.588 0.000 0.824
Fe 0.092 0.342 0.263
Fe 0.174 0.989 0.674
Fe 0.180 0.660 0.538
Fe 0.228 0.344 0.989
Fe 0.307 0.660 0.286
Fe 0.437 0.990 0.149
Fe 0.515 0.343 0.412
Fe 0.595 0.696 0.675
Fe 0.724 0.026 0.538
Fe 0.803 0.344 0.837
Fe 0.852 0.026 0.286
Fe 0.859 0.697 0.149
Fe 0.943 0.342 0.561
Si 0.272 0.061 0.412
Si 0.759 0.623 0.412
Sb 0.371 0.343 0.699
Sb 0.658 0.344 0.126
O 0.061 0.735 0.993
O 0.090 0.005 0.522
O 0.111 0.221 0.703
O 0.111 0.454 0.825
O 0.202 0.004 0.301
O 0.222 0.237 0.412
O 0.230 0.752 0.668
O 0.240 0.445 0.569
O 0.388 0.954 0.992
O 0.397 0.445 0.255
O 0.403 0.222 0.120
O 0.471 0.680 0.412
O 0.488 0.754 0.156
O 0.492 0.236 0.832
O 0.525 0.455 0.000
O 0.543 0.932 0.669
O 0.561 0.004 0.412
O 0.629 0.462 0.706
O 0.636 0.239 0.573
O 0.642 0.734 0.832
O 0.796 0.240 0.253
O 0.803 0.934 0.155
O 0.811 0.447 0.412
O 0.829 0.680 0.523
O 0.912 0.236 0.994
O 0.926 0.462 0.119
O 0.941 0.681 0.302
O 0.968 0.953 0.831


Record 4
For MgFe3OF7, a DFT-relaxed cell (GGA+U, the Materials Project) gives the calculated PXRD pattern in this record (Cu Kα).

Largest 10 diffraction maxima, sorted by position, 2θ = 10–80°:
2theta  I (rel.)
17.2  7
19.7  100
32.9  49
42.1  78
46.9  10
57.4  28
58.2  17
61.3  21
64.5  15
73.7  11

Atomic structure:
Cell lengths 5.834, 5.834, 5.834 Å; angles 66.78, 66.78, 66.78 degrees
Atoms (fractional coordinates):
Mg 0.000 0.000 0.000
Fe 0.000 0.482 0.482
Fe 0.482 0.000 0.482
Fe 0.482 0.482 0.000
O 0.264 0.264 0.264
F 0.229 0.229 0.749
F 0.229 0.749 0.229
F 0.247 0.761 0.761
F 0.722 0.722 0.722
F 0.749 0.229 0.229
F 0.761 0.247 0.761
F 0.761 0.761 0.247


Record 5
For VO2F, a DFT-relaxed cell (GGA+U, the Materials Project) gives the calculated PXRD pattern in this record (Cu Kα).

Largest 10 diffraction maxima, sorted by position, 2θ = 10–80°:
2theta  I (rel.)
23.3  100
23.7  87
24.6  85
33.3  12
34.1  24
47.7  17
48.6  20
50.5  17
54.2  23
56.1  17

Atomic structure:
Cell lengths 5.162, 5.240, 9.094 Å; angles 75.95, 75.50, 61.37 degrees
Atoms (fractional coordinates):
V 0.000 0.000 0.000
V 0.205 0.256 0.251
V 0.438 0.514 0.502
V 0.732 0.770 0.747
O 0.041 0.561 0.136
O 0.108 0.653 0.632
O 0.184 0.998 0.137
O 0.297 0.389 0.381
O 0.441 0.812 0.390
O 0.539 0.071 0.635
O 0.791 0.895 0.886
O 0.945 0.314 0.890
F 0.361 0.743 0.881
F 0.614 0.143 0.135
F 0.693 0.489 0.637
F 0.863 0.246 0.384


Record 6
For K4MgV6O16, a DFT-relaxed cell (GGA+U, the Materials Project) gives the calculated PXRD pattern in this record (Cu Kα).

Largest 10 diffraction maxima, sorted by position, 2θ = 10–80°:
2theta  I (rel.)
15.9  59
21.3  39
25.2  52
26.7  53
26.9  24
27.4  100
31.4  31
32.0  39
34.5  39
54.2  15

Atomic structure:
Cell lengths 9.159, 9.159, 5.588 Å; angles 90.00, 90.00, 92.85 degrees
Atoms (fractional coordinates):
K 0.221 0.779 0.000
K 0.323 0.323 0.983
K 0.677 0.677 0.983
K 0.779 0.221 0.000
Mg 0.000 0.000 0.941
V 0.000 0.500 0.451
V 0.138 0.138 0.439
V 0.374 0.626 0.460
V 0.500 0.000 0.451
V 0.626 0.374 0.460
V 0.862 0.862 0.439
O 0.000 0.000 0.288
O 0.000 0.500 0.746
O 0.077 0.311 0.344
O 0.127 0.127 0.765
O 0.199 0.581 0.355
O 0.311 0.077 0.344
O 0.384 0.616 0.758
O 0.419 0.801 0.355
O 0.500 0.000 0.746
O 0.500 0.500 0.325
O 0.581 0.199 0.355
O 0.616 0.384 0.758
O 0.689 0.923 0.344
O 0.801 0.419 0.355
O 0.873 0.873 0.765
O 0.923 0.689 0.344


Record 7
For Sm2NiPtO6, a DFT-relaxed cell (GGA+U, the Materials Project) gives the calculated PXRD pattern in this record (Cu Kα).

Largest 10 diffraction maxima, sorted by position, 2θ = 10–80°:
2theta  I (rel.)
19.1  12
19.9  11
25.2  12
30.9  20
32.2  100
33.0  32
45.8  18
46.7  13
58.3  11
58.5  21

Atomic structure:
Cell lengths 5.429, 5.787, 9.486 Å; angles 90.00, 124.83, 90.00 degrees
Atoms (fractional coordinates):
Sm 0.227 0.072 0.249
Sm 0.227 0.428 0.749
Sm 0.773 0.572 0.251
Sm 0.773 0.928 0.751
Ni 0.000 0.000 0.500
Ni 0.000 0.500 0.000
Pt 0.500 0.000 0.000
Pt 0.500 0.500 0.500
O 0.138 0.195 0.945
O 0.138 0.305 0.445
O 0.253 0.701 0.942
O 0.253 0.799 0.442
O 0.363 0.039 0.751
O 0.363 0.461 0.251
O 0.637 0.539 0.749
O 0.637 0.961 0.249
O 0.747 0.201 0.558
O 0.747 0.299 0.058
O 0.862 0.695 0.555
O 0.862 0.805 0.055


Record 8
For Li2MnF4, a DFT-relaxed cell (GGA+U, the Materials Project) gives the calculated PXRD pattern in this record (Cu Kα).

Largest 10 diffraction maxima, sorted by position, 2θ = 10–80°:
2theta  I (rel.)
17.1  14
19.3  39
19.7  100
31.0  15
41.0  79
43.1  68
44.6  15
50.0  23
50.8  21
61.7  19

Atomic structure:
Cell lengths 9.180, 3.007, 10.368 Å; angles 90.00, 90.00, 90.00 degrees
Atoms (fractional coordinates):
Li 0.066 0.250 0.116
Li 0.073 0.250 0.613
Li 0.427 0.750 0.113
Li 0.434 0.750 0.616
Li 0.566 0.250 0.384
Li 0.573 0.250 0.887
Li 0.927 0.750 0.387
Li 0.934 0.750 0.884
Mn 0.250 0.250 0.346
Mn 0.250 0.750 0.846
Mn 0.750 0.250 0.154
Mn 0.750 0.750 0.654
F 0.030 0.750 0.722
F 0.096 0.250 0.930
F 0.128 0.750 0.461
F 0.214 0.750 0.191
F 0.286 0.250 0.691
F 0.372 0.250 0.961
F 0.404 0.750 0.430
F 0.470 0.250 0.222
F 0.530 0.750 0.778
F 0.596 0.250 0.570
F 0.628 0.750 0.039
F 0.714 0.750 0.309
F 0.786 0.250 0.809
F 0.872 0.250 0.539
F 0.904 0.750 0.070
F 0.970 0.250 0.278


Record 9
For LiNiOF, a DFT-relaxed cell (GGA+U, the Materials Project) gives the calculated PXRD pattern in this record (Cu Kα).

Largest 10 diffraction maxima, sorted by position, 2θ = 10–80°:
2theta  I (rel.)
34.4  60
37.3  33
40.8  37
43.3  100
43.4  48
43.6  23
58.8  15
62.9  28
63.0  55
79.5  25

Atomic structure:
Cell lengths 2.956, 2.956, 16.665 Å; angles 90.00, 90.00, 90.00 degrees
Atoms (fractional coordinates):
Li 0.250 0.250 0.060
Li 0.250 0.250 0.815
Li 0.750 0.750 0.185
Li 0.750 0.750 0.940
Ni 0.250 0.250 0.310
Ni 0.250 0.250 0.564
Ni 0.750 0.750 0.436
Ni 0.750 0.750 0.690
O 0.250 0.250 0.436
O 0.250 0.250 0.691
O 0.750 0.750 0.309
O 0.750 0.750 0.564
F 0.250 0.250 0.181
F 0.250 0.250 0.939
F 0.750 0.750 0.061
F 0.750 0.750 0.819


Record 10
For MnNiO3, a DFT-relaxed cell (GGA+U, the Materials Project) gives the calculated PXRD pattern in this record (Cu Kα).

Largest 10 diffraction maxima, sorted by position, 2θ = 10–80°:
2theta  I (rel.)
16.5  47
19.1  61
24.5  56
26.5  53
27.2  60
33.5  68
36.5  100
46.0  79
46.8  54
60.2  34

Atomic structure:
Cell lengths 3.945, 5.691, 6.112 Å; angles 104.39, 107.70, 109.80 degrees
Atoms (fractional coordinates):
Mn 0.016 0.182 0.346
Mn 0.984 0.818 0.654
Ni 0.249 0.740 0.239
Ni 0.751 0.260 0.761
O 0.013 0.664 0.877
O 0.196 0.207 0.701
O 0.471 0.827 0.621
O 0.529 0.173 0.379
O 0.804 0.793 0.299
O 0.987 0.336 0.123